# 1
La4Pm2Ho7: computed powder XRD pattern (Cu Kα), based on a crystal structure in Alexandria, relaxed with PBE.
Neutral-atom scattering factors, no anomalous dispersion.

The 6 most intense peaks (15 to 90 degrees two-theta), in order of rising 2θ:
| d [Å] | intensity |
| --- | --- |
| 2.999 | 50 |
| 2.800 | 100 |
| 2.541 | 38 |
| 2.276 | 18 |
| 1.819 | 20 |
| 1.776 | 31 |

Atomic structure:
Lattice parameters (Å, degrees): 6.152 6.152 13.530 90.00 90.00 120.00
Atoms (fractional coordinates):
1 La 0.000 0.000 0.110
2 La 0.000 0.000 0.890
3 La 0.333 0.667 0.000
4 La 0.667 0.333 0.000
5 Pm 0.333 0.667 0.500
6 Pm 0.667 0.333 0.500
7 Ho 0.000 0.000 0.500
8 Ho 0.000 0.353 0.711
9 Ho 0.000 0.647 0.289
10 Ho 0.353 0.000 0.711
11 Ho 0.353 0.353 0.289
12 Ho 0.647 0.000 0.289
13 Ho 0.647 0.647 0.711

---

# 2
SeF: computed powder XRD pattern (Cu Kα), based on a crystal structure in Alexandria, relaxed with PBE.
Neutral-atom scattering factors, no anomalous dispersion.

The 6 most intense peaks (15 to 90 degrees two-theta), in order of rising 2θ:
| d [Å] | intensity |
| --- | --- |
| 4.711 | 100 |
| 3.734 | 50 |
| 3.704 | 63 |
| 3.587 | 57 |
| 3.346 | 41 |
| 2.696 | 48 |

Atomic structure:
Lattice parameters (Å, degrees): 4.970 5.988 6.007 74.32 87.13 77.54
Atoms (fractional coordinates):
1 Se 0.000 0.000 0.000
2 Se 0.111 0.392 0.746
3 Se 0.439 0.339 0.443
4 Se 0.692 0.593 0.511
5 F 0.129 0.108 0.237
6 F 0.360 0.855 0.958
7 F 0.658 0.226 0.009
8 F 0.907 0.940 0.725

---

# 3
SiBiPd4: computed powder XRD pattern (Cu Kα), based on a crystal structure in Alexandria, relaxed with PBE.
Neutral-atom scattering factors, no anomalous dispersion.

The 6 most intense peaks (15 to 90 degrees two-theta), in order of rising 2θ:
| d [Å] | intensity |
| --- | --- |
| 2.784 | 100 |
| 2.674 | 71 |
| 2.593 | 45 |
| 2.093 | 62 |
| 2.048 | 54 |
| 1.828 | 33 |

Atomic structure:
Lattice parameters (Å, degrees): 7.386 7.386 6.883 100.02 100.02 35.86
Atoms (fractional coordinates):
1 Si 0.000 0.500 0.000
2 Si 0.500 0.000 0.500
3 Bi 0.133 0.867 0.750
4 Bi 0.867 0.133 0.250
5 Pd 0.007 0.386 0.649
6 Pd 0.278 0.553 0.061
7 Pd 0.386 0.007 0.149
8 Pd 0.447 0.722 0.439
9 Pd 0.553 0.278 0.561
10 Pd 0.614 0.993 0.851
11 Pd 0.722 0.447 0.939
12 Pd 0.993 0.614 0.351